The following is a calculated powder diffraction line list of Mn3TeO8. It was derived from DFT lattice parameters and positions (PBE+U), using Cu Kα (weighted mean of Kα1 and Kα2).
Kinematic intensities with the Lorentz-polarization factor, no thermal factor.

Main lines, sorted by position (10° ≤ 2θ ≤ 90°):
- (1 0 1), d 4.538, 19.6 deg, intensity 1000
- (1 0 2), d 3.467, 25.7 deg, intensity 326
- (1 0 3), d 2.664, 33.6 deg, intensity 307
- (1 1 2), d 2.522, 35.6 deg, intensity 395
- (2 0 1), d 2.503, 35.9 deg, intensity 275
- (2 0 2), d 2.269, 39.7 deg, intensity 143
- (2 0 3), d 1.992, 45.5 deg, intensity 238
- (2 1 3), d 1.660, 55.4 deg, intensity 189
- (2 0 5), d 1.513, 61.3 deg, intensity 224
- (2 2 0), d 1.500, 61.8 deg, intensity 213

Lattice parameters (Å, degrees): 6.0017 6.0017 9.3063 90.00 90.00 120.00
Element x y z (fractional)
Mn (0.1678, 0.3355, 0.0000)
Mn (0.1678, 0.8322, 0.0000)
Mn (0.3355, 0.1678, 0.5000)
Mn (0.6645, 0.8322, 0.0000)
Mn (0.8322, 0.1678, 0.5000)
Mn (0.8322, 0.6645, 0.5000)
Te (0.3333, 0.6667, 0.2769)
Te (0.6667, 0.3333, 0.7769)
O (0.0000, 0.0000, 0.0881)
O (0.0000, 0.0000, 0.5881)
O (0.0414, 0.5207, 0.1402)
O (0.1743, 0.3486, 0.3887)
O (0.1743, 0.8257, 0.3887)
O (0.3333, 0.6667, 0.9063)
O (0.3486, 0.1743, 0.8887)
O (0.4793, 0.5207, 0.1402)
O (0.4793, 0.9586, 0.1402)
O (0.5207, 0.0414, 0.6402)
O (0.5207, 0.4793, 0.6402)
O (0.6514, 0.8257, 0.3887)
O (0.6667, 0.3333, 0.4063)
O (0.8257, 0.1743, 0.8887)
O (0.8257, 0.6514, 0.8887)
O (0.9586, 0.4793, 0.6402)